(1)
Structure and computed powder diffractogram of Li5PmSn7 (the PBE geometry in Alexandria; copper Kα).
Intensities are scaled so that the largest is 100.

Crystal structure
```
Li5PmSn7
1.0
5.636 -5.092 0.000
5.636 5.092 0.000
-3.188 0.000 5.088
Li Pm Sn
5 1 7
Direct
0.000 0.000 0.000
0.245 0.746 0.736
0.249 0.749 0.258
0.746 0.245 0.736
0.749 0.249 0.258
0.747 0.747 0.250
0.058 0.416 0.232
0.094 0.094 0.597
0.399 0.399 0.903
0.416 0.058 0.232
0.500 0.500 0.505
0.578 0.935 0.759
0.935 0.578 0.759
```

Main lines, in order of rising 2θ (2θ from 10° to 80°):
d = 4.775 Å, I = 45.7; d = 3.002 Å, I = 88.6; d = 2.955 Å, I = 95.9; d = 2.543 Å, I = 33.9; d = 2.513 Å, I = 100.0; d = 2.462 Å, I = 33.2

(2)
Structure and computed powder diffractogram of LiPm2Sn6 (the PBE geometry in Alexandria; copper Kα).
Intensities are scaled so that the largest is 100.

Crystal structure
```
LiPm2Sn6
1.0
8.686 -3.383 0.000
8.686 3.383 0.000
-1.199 0.000 4.412
Li Pm Sn
1 2 6
Direct
0.000 0.000 0.000
0.388 0.388 0.888
0.617 0.617 0.117
0.023 0.595 0.309
0.274 0.731 0.503
0.411 0.982 0.697
0.595 0.023 0.309
0.731 0.274 0.503
0.982 0.411 0.697
```

Main lines, in order of rising 2θ (2θ from 10° to 80°):
d = 6.275 Å, I = 36.0; d = 3.788 Å, I = 33.2; d = 2.704 Å, I = 100.0; d = 2.685 Å, I = 76.5; d = 2.633 Å, I = 33.0; d = 2.286 Å, I = 34.6

(3)
Structure and computed powder diffractogram of LiPm2Sn (the PBE geometry in Alexandria; copper Kα).
Intensities are scaled so that the largest is 100.

Crystal structure
```
LiPm2Sn
1.0
0.000 3.785 3.785
3.785 0.000 3.785
3.785 3.785 0.000
Li Pm Sn
1 2 1
Direct
0.000 0.000 0.000
0.250 0.250 0.250
0.750 0.750 0.750
0.500 0.500 0.500
```

Main lines, in order of rising 2θ (2θ from 10° to 80°):
d = 4.371 Å, I = 17.4; d = 3.785 Å, I = 19.7; d = 2.677 Å, I = 100.0; d = 1.893 Å, I = 18.3; d = 1.545 Å, I = 38.2; d = 1.338 Å, I = 11.8

(4)
Structure and computed powder diffractogram of SrLi2Pm2Tl2 (the PBE geometry in Alexandria; copper Kα).
Intensities are scaled so that the largest is 100.

Crystal structure
```
SrLi2Pm2Tl2
1.0
2.489 1.437 9.643
-2.489 1.437 9.643
0.000 -2.874 9.643
Sr Li Pm Tl
1 2 2 2
Direct
0.000 0.000 0.000
0.407 0.407 0.407
0.593 0.593 0.593
0.130 0.130 0.130
0.870 0.870 0.870
0.253 0.253 0.253
0.747 0.747 0.747
```

Main lines, in order of rising 2θ (2θ from 10° to 80°):
d = 4.264 Å, I = 38.2; d = 4.131 Å, I = 48.0; d = 2.983 Å, I = 32.8; d = 2.770 Å, I = 100.0; d = 2.489 Å, I = 79.2; d = 1.851 Å, I = 31.1

(5)
Structure and computed powder diffractogram of LiTb6Pm (the PBE geometry in Alexandria; copper Kα).
Intensities are scaled so that the largest is 100.

Crystal structure
```
LiTb6Pm
1.0
4.710 2.720 3.205
-4.710 2.720 3.205
0.000 -5.439 3.205
Li Tb Pm
1 6 1
Direct
0.000 0.000 0.000
0.051 0.764 0.571
0.236 0.429 0.949
0.429 0.949 0.236
0.571 0.051 0.764
0.764 0.571 0.051
0.949 0.236 0.429
0.500 0.500 0.500
```

Main lines, in order of rising 2θ (2θ from 10° to 80°):
d = 3.205 Å, I = 29.2; d = 2.936 Å, I = 100.0; d = 2.650 Å, I = 20.4; d = 2.596 Å, I = 58.8; d = 1.780 Å, I = 17.9; d = 1.556 Å, I = 19.0

(6)
Structure and computed powder diffractogram of Li2Pm3Te4 (the PBE geometry in Alexandria; copper Kα).
Intensities are scaled so that the largest is 100.

Crystal structure
```
Li2Pm3Te4
1.0
6.585 0.000 0.000
0.000 17.328 0.000
0.000 0.000 4.546
Li Pm Te
4 6 8
Direct
0.159 0.091 0.000
0.341 0.591 0.500
0.659 0.409 0.500
0.841 0.909 0.000
0.000 0.500 0.000
0.226 0.801 0.500
0.274 0.301 0.000
0.500 0.000 0.500
0.726 0.699 0.000
0.774 0.199 0.500
0.216 0.669 0.000
0.243 0.928 0.000
0.257 0.428 0.500
0.284 0.169 0.500
0.716 0.831 0.500
0.743 0.572 0.500
0.757 0.072 0.000
0.784 0.331 0.000
```

Main lines, in order of rising 2θ (2θ from 10° to 80°):
d = 3.572 Å, I = 51.4; d = 3.293 Å, I = 50.5; d = 3.140 Å, I = 71.4; d = 2.756 Å, I = 95.2; d = 2.421 Å, I = 100.0; d = 2.273 Å, I = 50.8